1.
Structure and theoretical XRD peak list of Pm2Si2O7 (a crystal structure in OQMD, relaxed with GGA-PBE; Cu Ka).
Intensities are scaled so that the largest is 100.

Most intense lines, 15° ≤ 2θ ≤ 90°, in order of rising 2θ:
hkl 0 1 1, 17.5°, I = 28
hkl 1 0 0, 18.9°, I = 29
hkl 1 1 0, 20.5°, I = 25
hkl 1 1 1, 27.0°, I = 56
hkl 1 2 -1, 28.4°, I = 100
hkl 0 3 1, 28.7°, I = 25
hkl 0 4 0, 32.0°, I = 22
hkl 0 1 2, 32.6°, I = 31
hkl 1 3 1, 35.4°, I = 24
hkl 0 2 3, 51.0°, I = 24

Structural model:
```
data_Pm2Si2O7
_symmetry_space_group_name_H-M 'P 1 21/c 1'
_symmetry_Int_Tables_number 14
_symmetry_space_group_name_Hall '-P 2ybc'
_cell_length_a 4.712
_cell_length_b 11.191
_cell_length_c 5.691
_cell_angle_alpha 90.00
_cell_angle_beta 95.51
_cell_angle_gamma 90.00
loop_
_atom_site_label
_atom_site_type_symbol
_atom_site_fract_x
_atom_site_fract_y
_atom_site_fract_z
Pm1 Pm 0.120 0.147 0.403
Si1 Si 0.361 0.612 0.641
O1 O 0.125 0.681 0.463
O2 O 0.213 0.555 0.867
O3 O 0.383 0.200 0.755
O4 O 0.500 0.000 0.000
```



2.
Structure and theoretical XRD peak list of PmSmO3 (a crystal structure in OQMD, relaxed with GGA-PBE; Cu Ka).
Intensities are scaled so that the largest is 100.

Most intense lines, 15° ≤ 2θ ≤ 90°, in order of rising 2θ:
hkl 1 0 0, 27.2°, I = 28
hkl 0 0 2, 29.9°, I = 28
hkl 1 0 1, 31.2°, I = 100
hkl 1 0 2, 40.9°, I = 25
hkl 1 1 0, 48.1°, I = 32
hkl 0 1 3, 53.9°, I = 28
hkl 1 1 2, 57.7°, I = 26
hkl 0 2 1, 58.5°, I = 17
hkl 2 0 3, 75.2°, I = 10
hkl 2 1 1, 79.0°, I = 15

Structural model:
```
data_PmSmO3
_symmetry_space_group_name_H-M 'P 3 m 1'
_symmetry_Int_Tables_number 156
_symmetry_space_group_name_Hall 'P 3 -2"'
_cell_length_a 3.7800
_cell_length_b 3.7800
_cell_length_c 5.9669
_cell_angle_alpha 90.00
_cell_angle_beta 90.00
_cell_angle_gamma 120.00
loop_
_atom_site_label
_atom_site_type_symbol
_atom_site_fract_x
_atom_site_fract_y
_atom_site_fract_z
Pm1 Pm 0.0000 0.0000 0.0000
Sm1 Sm 0.3333 0.6667 0.4953
O1 O 0.0000 0.0000 0.6007
O2 O 0.3333 0.6667 0.8893
O3 O 0.6667 0.3333 0.2469
```



3.
Structure and theoretical XRD peak list of PmSmTeO2 (a crystal structure in OQMD, relaxed with GGA-PBE; Cu Ka).
Intensities are scaled so that the largest is 100.

Most intense lines, 15° ≤ 2θ ≤ 90°, in order of rising 2θ:
hkl 1 0 3, 30.7°, I = 100
hkl 1 1 0, 31.6°, I = 40
hkl 0 0 6, 42.6°, I = 8
hkl 2 0 0, 45.3°, I = 20
hkl 1 1 6, 54.0°, I = 22
hkl 2 1 3, 55.7°, I = 37
hkl 2 0 6, 63.9°, I = 10
hkl 1 0 9, 70.5°, I = 8
hkl 3 0 3, 74.5°, I = 8
hkl 2 1 9, 87.9°, I = 9

Structural model:
```
data_PmSmTeO2
_symmetry_space_group_name_H-M 'I 4 m m'
_symmetry_Int_Tables_number 107
_symmetry_space_group_name_Hall 'I 4 -2'
_cell_length_a 4.007
_cell_length_b 4.007
_cell_length_c 12.744
_cell_angle_alpha 90.00
_cell_angle_beta 90.00
_cell_angle_gamma 90.00
loop_
_atom_site_label
_atom_site_type_symbol
_atom_site_fract_x
_atom_site_fract_y
_atom_site_fract_z
Pm1 Pm 0.000 0.000 0.000
Sm1 Sm 0.000 0.000 0.319
Te1 Te 0.000 0.000 0.660
O1 O 0.000 0.500 0.409
```



4.
Structure and theoretical XRD peak list of Sr2Pm2O5 (a crystal structure in OQMD, relaxed with GGA-PBE; Cu Ka).
Intensities are scaled so that the largest is 100.

Most intense lines, 15° ≤ 2θ ≤ 90°, in order of rising 2θ:
hkl 1 0 0, 19.9°, I = 12
hkl 1 1 0, 28.3°, I = 49
hkl 1 0 2, 29.6°, I = 100
hkl 2 0 0, 40.4°, I = 32
hkl 2 1 2, 50.9°, I = 44
hkl 1 1 4, 53.3°, I = 20
hkl 2 2 0, 58.5°, I = 10
hkl 2 0 4, 61.4°, I = 13
hkl 3 2 2, 81.1°, I = 12
hkl 3 1 4, 83.1°, I = 11

Structural model:
```
data_Sr2Pm2O5
_symmetry_space_group_name_H-M 'P 4/m m m'
_symmetry_Int_Tables_number 123
_symmetry_space_group_name_Hall '-P 4 2'
_cell_length_a 4.465
_cell_length_b 4.465
_cell_length_c 8.202
_cell_angle_alpha 90.00
_cell_angle_beta 90.00
_cell_angle_gamma 90.00
loop_
_atom_site_label
_atom_site_type_symbol
_atom_site_fract_x
_atom_site_fract_y
_atom_site_fract_z
Sr1 Sr 0.000 0.000 0.000
Sr2 Sr 0.000 0.000 0.500
Pm1 Pm 0.500 0.500 0.235
O1 O 0.000 0.500 0.189
O2 O 0.500 0.500 0.500
```



5.
Structure and theoretical XRD peak list of PmTaO3 (a crystal structure in OQMD, relaxed with GGA-PBE; Cu Ka).
Intensities are scaled so that the largest is 100.

Most intense lines, 15° ≤ 2θ ≤ 90°, in order of rising 2θ:
hkl 1 1 0, 30.0°, I = 100
hkl 1 0 4, 34.1°, I = 77
hkl 0 2 4, 46.0°, I = 42
hkl 3 0 0, 53.2°, I = 27
hkl 2 1 4, 55.9°, I = 40
hkl 2 2 0, 62.3°, I = 15
hkl 0 1 8, 63.5°, I = 13
hkl 1 3 4, 72.9°, I = 17
hkl 1 2 8, 79.7°, I = 14
hkl 3 2 4, 88.5°, I = 13

Structural model:
```
data_PmTaO3
_symmetry_space_group_name_H-M 'R -3 c'
_symmetry_Int_Tables_number 167
_symmetry_space_group_name_Hall '-R 3 2"c'
_cell_length_a 5.9632
_cell_length_b 5.9632
_cell_length_c 12.2212
_cell_angle_alpha 90.00
_cell_angle_beta 90.00
_cell_angle_gamma 120.00
loop_
_atom_site_label
_atom_site_type_symbol
_atom_site_fract_x
_atom_site_fract_y
_atom_site_fract_z
Pm1 Pm 0.0000 0.0000 0.2500
Ta1 Ta 0.0000 0.0000 0.0000
O1 O 0.0000 0.4031 0.2500
```



6.
Structure and theoretical XRD peak list of PmZn2O4 (a crystal structure in OQMD, relaxed with GGA-PBE; Cu Ka).
Intensities are scaled so that the largest is 100.

Most intense lines, 15° ≤ 2θ ≤ 90°, in order of rising 2θ:
hkl 2 2 0, 28.1°, I = 58
hkl 3 1 1, 33.1°, I = 100
hkl 2 2 2, 34.7°, I = 6
hkl 4 2 2, 49.8°, I = 23
hkl 5 1 1, 53.1°, I = 40
hkl 4 4 0, 58.2°, I = 37
hkl 6 2 0, 65.9°, I = 9
hkl 5 3 3, 68.6°, I = 12
hkl 6 4 2, 80.1°, I = 12
hkl 5 5 3, 82.7°, I = 20

Structural model:
Unit cell a=8.968 b=8.968 c=8.968 alpha=90.00 beta=90.00 gamma=90.00
Space group Fd-3m (No. 227, origin choice 2)
Unique sites:
Pm (0.125, 0.125, 0.125)
Zn (0.000, 0.000, 0.500)
O (0.016, 0.016, 0.734)



7.
Structure and theoretical XRD peak list of Pr2Re2S2O5 (a crystal structure in OQMD, relaxed with GGA-PBE; Cu Ka).
Intensities are scaled so that the largest is 100.

Most intense lines, 15° ≤ 2θ ≤ 90°, in order of rising 2θ:
hkl 0 0 4, 16.1°, I = 72
hkl 1 0 1, 22.5°, I = 46
hkl 1 0 3, 25.3°, I = 49
hkl 1 0 5, 30.1°, I = 61
hkl 1 1 0, 31.5°, I = 100
hkl 1 0 7, 36.3°, I = 88
hkl 2 0 0, 45.2°, I = 52
hkl 2 1 5, 55.3°, I = 24
hkl 2 1 7, 59.3°, I = 43
hkl 1 1 12, 60.1°, I = 24

Structural model:
```
data_Pr2Re2S2O5
_symmetry_space_group_name_H-M 'I 4/m m m'
_symmetry_Int_Tables_number 139
_symmetry_space_group_name_Hall '-I 4 2'
_cell_length_a 4.014
_cell_length_b 4.014
_cell_length_c 22.008
_cell_angle_alpha 90.00
_cell_angle_beta 90.00
_cell_angle_gamma 90.00
loop_
_atom_site_label
_atom_site_type_symbol
_atom_site_fract_x
_atom_site_fract_y
_atom_site_fract_z
Pr1 Pr 0.000 0.000 0.164
Re1 Re 0.000 0.000 0.417
S1 S 0.000 0.000 0.299
O1 O 0.000 0.000 0.500
O2 O 0.000 0.500 0.096
```



8.
Structure and theoretical XRD peak list of Pr2SO2 (a crystal structure in OQMD, relaxed with GGA-PBE; Cu Ka).
Intensities are scaled so that the largest is 100.

Most intense lines, 15° ≤ 2θ ≤ 90°, in order of rising 2θ:
hkl 1 0 0, 25.7°, I = 20
hkl 0 0 2, 26.1°, I = 22
hkl 1 0 1, 28.9°, I = 100
hkl 0 1 2, 37.0°, I = 30
hkl 1 1 0, 45.4°, I = 33
hkl 1 0 3, 47.8°, I = 25
hkl 1 1 2, 53.1°, I = 19
hkl 0 2 1, 54.7°, I = 17
hkl 2 1 1, 73.7°, I = 14
hkl 2 1 3, 85.6°, I = 9

Structural model:
```
data_Pr2SO2
_symmetry_space_group_name_H-M 'P -3 m 1'
_symmetry_Int_Tables_number 164
_symmetry_space_group_name_Hall '-P 3 2"'
_cell_length_a 3.9991
_cell_length_b 3.9991
_cell_length_c 6.8290
_cell_angle_alpha 90.00
_cell_angle_beta 90.00
_cell_angle_gamma 120.00
loop_
_atom_site_label
_atom_site_type_symbol
_atom_site_fract_x
_atom_site_fract_y
_atom_site_fract_z
Pr1 Pr 0.3333 0.6667 0.2208
S1 S 0.0000 0.0000 0.5000
O1 O 0.3333 0.6667 0.8694
```



Copy entry 3 word for word.
Structure and theoretical XRD peak list of PmSmTeO2 (a crystal structure in OQMD, relaxed with GGA-PBE; Cu Ka).
Intensities are scaled so that the largest is 100.

Most intense lines, 15° ≤ 2θ ≤ 90°, in order of rising 2θ:
hkl 1 0 3, 30.7°, I = 100
hkl 1 1 0, 31.6°, I = 40
hkl 0 0 6, 42.6°, I = 8
hkl 2 0 0, 45.3°, I = 20
hkl 1 1 6, 54.0°, I = 22
hkl 2 1 3, 55.7°, I = 37
hkl 2 0 6, 63.9°, I = 10
hkl 1 0 9, 70.5°, I = 8
hkl 3 0 3, 74.5°, I = 8
hkl 2 1 9, 87.9°, I = 9

Structural model:
```
data_PmSmTeO2
_symmetry_space_group_name_H-M 'I 4 m m'
_symmetry_Int_Tables_number 107
_symmetry_space_group_name_Hall 'I 4 -2'
_cell_length_a 4.007
_cell_length_b 4.007
_cell_length_c 12.744
_cell_angle_alpha 90.00
_cell_angle_beta 90.00
_cell_angle_gamma 90.00
loop_
_atom_site_label
_atom_site_type_symbol
_atom_site_fract_x
_atom_site_fract_y
_atom_site_fract_z
Pm1 Pm 0.000 0.000 0.000
Sm1 Sm 0.000 0.000 0.319
Te1 Te 0.000 0.000 0.660
O1 O 0.000 0.500 0.409
```